Diffraction record for TmFe2O4. The powder X-ray diffraction pattern is calculated, not measured: it uses a crystal structure in Alexandria, relaxed with PBE+U and Cu Ka.

Largest 10 diffraction maxima, low angle first, 2θ = 10–90°:
2θ 17.76, I 51
2θ 25.52, I 98
2θ 26.23, I 100
2θ 31.58, I 84
2θ 31.81, I 63
2θ 31.92, I 65
2θ 32.08, I 56
2θ 32.53, I 86
2θ 41.96, I 52
2θ 42.08, I 59

abc: 5.8199 5.8738 6.0304
angles: 108.11 109.89 108.96
Sites, in units of the cell vectors:
Tm: 0.1418 0.2654 0.4116
Tm: 0.8582 0.7346 0.5884
Fe: 0.0000 0.5000 0.0000
Fe: 0.5000 0.0000 0.0000
Fe: 0.5000 0.0000 0.5000
Fe: 0.5000 0.5000 0.0000
O: 0.1843 0.5594 0.7743
O: 0.2088 0.9339 0.1807
O: 0.2722 0.0508 0.6907
O: 0.3467 0.5397 0.2828
O: 0.6533 0.4603 0.7172
O: 0.7278 0.9492 0.3093
O: 0.7912 0.0661 0.8193
O: 0.8157 0.4406 0.2257